The following is a simulated XRD peak list of MnIO6. It was derived from the GGA+U geometry in Alexandria, using copper Kα.
Kinematic intensities with the Lorentz-polarization factor, no thermal factor.

Main lines, by angle (2θ = 10–90°):
| Position (°2θ) | d_spacing | I (rel.) |
| --- | --- | --- |
| 21.99 | 4.042 | 18 |
| 25.04 | 3.557 | 100 |
| 34.79 | 2.579 | 34 |
| 36.59 | 2.456 | 18 |
| 42.33 | 2.135 | 15 |
| 44.85 | 2.021 | 15 |
| 51.38 | 1.778 | 14 |
| 56.74 | 1.623 | 26 |
| 59.21 | 1.560 | 15 |
| 64.72 | 1.440 | 12 |

a = 5.170 Å, b = 5.170 Å, c = 5.170 Å
α = 56.72°, β = 56.72°, γ = 56.72°
Atoms (fractional coordinates):
Mn: 0.000 0.000 0.000
I: 0.500 0.500 0.500
O: 0.110 0.394 0.747
O: 0.253 0.890 0.606
O: 0.394 0.747 0.110
O: 0.606 0.253 0.890
O: 0.747 0.110 0.394
O: 0.890 0.606 0.253